(1)
The following is a calculated XRD peak list of Cu2H4Ir. It was derived from a cell relaxed with PBE, using CuKα.

Main lines, sorted by position (2θ = 10–80°):
| d [Å] | 2θ (°) | intensity |
| --- | --- | --- |
| 3.390 | 26.29 | 100 |
| 2.214 | 40.76 | 91 |
| 2.197 | 41.09 | 30 |
| 2.040 | 44.42 | 19 |
| 1.864 | 48.87 | 28 |
| 1.633 | 56.34 | 25 |
| 1.495 | 62.10 | 9 |
| 1.421 | 65.71 | 15 |
| 1.376 | 68.16 | 20 |
| 1.319 | 71.53 | 4 |
| 1.228 | 77.76 | 5 |
| 1.208 | 79.28 | 13 |

Cell and atoms:
```
data_Cu2H4Ir
_chemical_formula_sum 'Cu2 H4 Ir1'
_cell_length_a 4.858
_cell_length_b 4.855
_cell_length_c 3.727
_cell_angle_alpha 67.48
_cell_angle_beta 67.39
_cell_angle_gamma 45.13
_space_group_name_H-M_alt 'P 1'
_space_group_IT_number 1
loop_
_space_group_symop_operation_xyz
'x,y,z'
loop_
_atom_site_label
_atom_site_type_symbol
_atom_site_fract_x
_atom_site_fract_y
_atom_site_fract_z
Cu1 Cu 0.250 0.250 0.250
Cu2 Cu 0.750 0.750 0.750
H1 H 0.000 0.000 0.500
H2 H 0.214 0.214 0.786
H3 H 0.500 0.500 0.000
H4 H 0.786 0.786 0.214
Ir1 Ir 0.000 0.000 0.000
```



(2)
The following is a calculated XRD peak list of Sr2CuH6Ir. It was derived from a cell relaxed with PBE, using CuKα.

Main lines, sorted by position (2θ = 10–80°):
| d [Å] | 2θ (°) | intensity |
| --- | --- | --- |
| 4.460 | 19.91 | 26 |
| 2.738 | 32.71 | 51 |
| 2.728 | 32.83 | 100 |
| 2.333 | 38.59 | 10 |
| 1.936 | 46.94 | 19 |
| 1.922 | 47.30 | 9 |
| 1.579 | 58.46 | 38 |
| 1.573 | 58.69 | 19 |
| 1.369 | 68.55 | 6 |
| 1.364 | 68.84 | 12 |
| 1.224 | 78.07 | 12 |
| 1.216 | 78.66 | 8 |

Cell and atoms:
```
data_Sr2CuH6Ir
_chemical_formula_sum 'Sr2 Cu1 H6 Ir1'
_cell_length_a 5.455
_cell_length_b 5.455
_cell_length_c 5.455
_cell_angle_alpha 119.75
_cell_angle_beta 119.75
_cell_angle_gamma 90.40
_space_group_name_H-M_alt 'P 1'
_space_group_IT_number 1
loop_
_space_group_symop_operation_xyz
'x,y,z'
loop_
_atom_site_label
_atom_site_type_symbol
_atom_site_fract_x
_atom_site_fract_y
_atom_site_fract_z
Sr1 Sr 0.250 0.750 0.000
Sr2 Sr 0.750 0.250 0.000
Cu1 Cu 0.000 0.000 0.500
H1 H 0.273 0.273 0.502
H2 H 0.274 0.274 0.047
H3 H 0.274 0.726 0.500
H4 H 0.726 0.274 0.500
H5 H 0.726 0.726 0.953
H6 H 0.727 0.727 0.498
Ir1 Ir 0.500 0.500 0.500
```



(3)
The following is a calculated XRD peak list of ZrCuH8Ir2. It was derived from a cell relaxed with PBE, using CuKα.

Main lines, sorted by position (2θ = 10–80°):
| d [Å] | 2θ (°) | intensity |
| --- | --- | --- |
| 5.272 | 16.82 | 53 |
| 3.675 | 24.22 | 23 |
| 3.295 | 27.06 | 34 |
| 2.795 | 32.02 | 86 |
| 2.709 | 33.07 | 100 |
| 2.344 | 38.41 | 40 |
| 2.327 | 38.70 | 97 |
| 2.221 | 40.61 | 25 |
| 2.076 | 43.59 | 37 |
| 1.985 | 45.72 | 28 |
| 1.648 | 55.79 | 45 |
| 1.394 | 67.12 | 19 |

Cell and atoms:
```
data_ZrCuH8Ir2
_chemical_formula_sum 'Zr1 Cu1 H8 Ir2'
_cell_length_a 4.731
_cell_length_b 4.731
_cell_length_c 5.683
_cell_angle_alpha 109.60
_cell_angle_beta 109.60
_cell_angle_gamma 52.06
_space_group_name_H-M_alt 'P 1'
_space_group_IT_number 1
loop_
_space_group_symop_operation_xyz
'x,y,z'
loop_
_atom_site_label
_atom_site_type_symbol
_atom_site_fract_x
_atom_site_fract_y
_atom_site_fract_z
Zr1 Zr 0.000 0.000 0.000
Cu1 Cu 0.500 0.500 0.500
H1 H 0.124 0.594 0.183
H2 H 0.228 0.228 0.361
H3 H 0.403 0.403 0.868
H4 H 0.406 0.876 0.817
H5 H 0.594 0.124 0.183
H6 H 0.597 0.597 0.132
H7 H 0.772 0.772 0.639
H8 H 0.876 0.406 0.817
Ir1 Ir 0.200 0.200 0.649
Ir2 Ir 0.800 0.800 0.351
```



(4)
The following is a calculated XRD peak list of K3Cu2H7. It was derived from a cell relaxed with PBE, using CuKα.

Main lines, sorted by position (2θ = 10–80°):
| d [Å] | 2θ (°) | intensity |
| --- | --- | --- |
| 5.178 | 17.12 | 10 |
| 3.725 | 23.89 | 7 |
| 2.795 | 32.02 | 100 |
| 2.678 | 33.46 | 56 |
| 2.332 | 38.61 | 22 |
| 1.894 | 48.05 | 20 |
| 1.638 | 56.14 | 9 |
| 1.568 | 58.91 | 31 |
| 1.470 | 63.27 | 10 |
| 1.451 | 64.19 | 11 |
| 1.276 | 74.36 | 7 |
| 1.208 | 79.34 | 6 |

Cell and atoms:
```
data_K3Cu2H7
_chemical_formula_sum 'K3 Cu2 H7'
_cell_length_a 10.697
_cell_length_b 10.697
_cell_length_c 10.697
_cell_angle_alpha 159.61
_cell_angle_beta 159.61
_cell_angle_gamma 29.00
_space_group_name_H-M_alt 'P 1'
_space_group_IT_number 1
loop_
_space_group_symop_operation_xyz
'x,y,z'
loop_
_atom_site_label
_atom_site_type_symbol
_atom_site_fract_x
_atom_site_fract_y
_atom_site_fract_z
K1 K 0.000 0.000 0.000
K2 K 0.178 0.178 0.000
K3 K 0.822 0.822 0.000
Cu1 Cu 0.411 0.411 0.000
Cu2 Cu 0.589 0.589 0.000
H1 H 0.087 0.587 0.500
H2 H 0.329 0.329 0.000
H3 H 0.413 0.913 0.500
H4 H 0.500 0.500 0.000
H5 H 0.587 0.087 0.500
H6 H 0.671 0.671 0.000
H7 H 0.913 0.413 0.500
```



(5)
The following is a calculated XRD peak list of K3Cu2H7. It was derived from a cell relaxed with PBE, using CuKα.

Main lines, sorted by position (2θ = 10–80°):
| d [Å] | 2θ (°) | intensity |
| --- | --- | --- |
| 5.321 | 16.66 | 18 |
| 3.488 | 25.54 | 13 |
| 3.033 | 29.45 | 14 |
| 2.873 | 31.13 | 73 |
| 2.658 | 33.72 | 100 |
| 2.558 | 35.08 | 72 |
| 2.396 | 37.53 | 27 |
| 1.947 | 46.65 | 17 |
| 1.846 | 49.37 | 16 |
| 1.569 | 58.88 | 24 |
| 1.553 | 59.52 | 20 |
| 1.549 | 59.68 | 27 |

Cell and atoms:
```
data_K3Cu2H7
_chemical_formula_sum 'K3 Cu2 H7'
_cell_length_a 10.818
_cell_length_b 10.818
_cell_length_c 3.692
_cell_angle_alpha 90.00
_cell_angle_beta 90.00
_cell_angle_gamma 159.26
_space_group_name_H-M_alt 'P 1'
_space_group_IT_number 1
loop_
_space_group_symop_operation_xyz
'x,y,z'
loop_
_atom_site_label
_atom_site_type_symbol
_atom_site_fract_x
_atom_site_fract_y
_atom_site_fract_z
K1 K 0.000 0.000 0.000
K2 K 0.172 0.828 0.000
K3 K 0.828 0.172 0.000
Cu1 Cu 0.414 0.586 0.500
Cu2 Cu 0.586 0.414 0.500
H1 H 0.085 0.915 0.500
H2 H 0.335 0.665 0.500
H3 H 0.417 0.583 0.000
H4 H 0.500 0.500 0.500
H5 H 0.583 0.417 0.000
H6 H 0.665 0.335 0.500
H7 H 0.915 0.085 0.500
```



(6)
The following is a calculated XRD peak list of KCuPH2O5. It was derived from a cell relaxed with PBE, using CuKα.

Main lines, sorted by position (2θ = 10–80°):
| d [Å] | 2θ (°) | intensity |
| --- | --- | --- |
| 4.341 | 20.46 | 46 |
| 3.255 | 27.40 | 35 |
| 3.219 | 27.71 | 56 |
| 2.987 | 29.91 | 79 |
| 2.968 | 30.11 | 96 |
| 2.928 | 30.54 | 34 |
| 2.875 | 31.11 | 100 |
| 2.808 | 31.87 | 80 |
| 2.799 | 31.98 | 30 |
| 2.598 | 34.52 | 42 |
| 2.429 | 37.01 | 62 |
| 1.636 | 56.25 | 34 |

Cell and atoms:
```
data_KCuPH2O5
_chemical_formula_sum 'K4 Cu4 P4 H8 O20'
_cell_length_a 10.646
_cell_length_b 6.839
_cell_length_c 6.918
_cell_angle_alpha 90.00
_cell_angle_beta 93.87
_cell_angle_gamma 90.00
_space_group_name_H-M_alt 'P 1'
_space_group_IT_number 1
loop_
_space_group_symop_operation_xyz
'x,y,z'
loop_
_atom_site_label
_atom_site_type_symbol
_atom_site_fract_x
_atom_site_fract_y
_atom_site_fract_z
K1 K 0.182 0.075 0.441
K2 K 0.182 0.425 0.941
K3 K 0.818 0.575 0.059
K4 K 0.818 0.925 0.559
Cu1 Cu 0.493 0.206 0.723
Cu2 Cu 0.493 0.294 0.223
Cu3 Cu 0.507 0.706 0.777
Cu4 Cu 0.507 0.794 0.277
P1 P 0.324 0.532 0.489
P2 P 0.324 0.968 0.989
P3 P 0.676 0.032 0.011
P4 P 0.676 0.468 0.511
H1 H 0.096 0.618 0.323
H2 H 0.096 0.882 0.823
H3 H 0.106 0.725 0.654
H4 H 0.106 0.775 0.154
H5 H 0.894 0.225 0.846
H6 H 0.894 0.275 0.346
H7 H 0.904 0.118 0.177
H8 H 0.904 0.382 0.677
O1 O 0.055 0.664 0.198
O2 O 0.055 0.836 0.698
O3 O 0.187 0.533 0.543
O4 O 0.187 0.967 0.043
O5 O 0.337 0.120 0.824
O6 O 0.337 0.380 0.324
O7 O 0.366 0.742 0.433
O8 O 0.366 0.758 0.933
O9 O 0.415 0.032 0.171
O10 O 0.415 0.468 0.671
O11 O 0.585 0.532 0.329
O12 O 0.585 0.968 0.829
O13 O 0.634 0.242 0.067
O14 O 0.634 0.258 0.567
O15 O 0.663 0.620 0.676
O16 O 0.663 0.880 0.176
O17 O 0.813 0.033 0.957
O18 O 0.813 0.467 0.457
O19 O 0.945 0.164 0.302
O20 O 0.945 0.336 0.802
```